# LiTmSi2Pt5
Theoretical X-ray diffraction stick pattern, Cu Kα, 1.54184 Å. Input: a structure optimized by DFT (GGA-PBE).
No peak broadening, texture or thermal motion is included.

The 10 most intense peaks (2θ from 10° to 90°), in order of falling intensity:
35.7°, d = 2.517 Å, I = 100
39.9°, d = 2.260 Å, I = 59
23.8°, d = 3.744 Å, I = 56
23.2°, d = 3.828 Å, I = 54
45.8°, d = 1.980 Å, I = 51
51.5°, d = 1.776 Å, I = 29
52.0°, d = 1.759 Å, I = 26
32.9°, d = 2.720 Å, I = 23
68.1°, d = 1.376 Å, I = 22
78.1°, d = 1.223 Å, I = 21

Cell and atoms:
a = 3.9598 Å, b = 3.9598 Å, c = 11.4852 Å
α = 90.00°, β = 90.00°, γ = 90.00°
Sites, in units of the cell vectors:
1 Li 0.0000 0.0000 0.0000
2 Tm 0.0000 0.0000 0.5000
3 Si 0.5000 0.5000 0.2013
4 Si 0.5000 0.5000 0.7987
5 Pt 0.0000 0.5000 0.3164
6 Pt 0.0000 0.5000 0.6836
7 Pt 0.5000 0.0000 0.3164
8 Pt 0.5000 0.0000 0.6836
9 Pt 0.5000 0.5000 0.0000


# CeCdPd6
Theoretical X-ray diffraction stick pattern, Cu Kα, 1.54184 Å. Input: a structure optimized by DFT (GGA-PBE).
No peak broadening, texture or thermal motion is included.

The 8 most intense peaks (2θ from 10° to 90°), in order of falling intensity:
38.1°, d = 2.364 Å, I = 100
43.9°, d = 2.063 Å, I = 33
76.8°, d = 1.241 Å, I = 25
64.6°, d = 1.442 Å, I = 20
44.9°, d = 2.017 Å, I = 15
78.3°, d = 1.221 Å, I = 12
63.8°, d = 1.459 Å, I = 11
81.4°, d = 1.182 Å, I = 11

Cell and atoms:
a = 4.1259 Å, b = 4.1259 Å, c = 8.0687 Å
α = 90.00°, β = 90.00°, γ = 90.00°
Sites, in units of the cell vectors:
1 Ce 0.0000 0.0000 0.0000
2 Cd 0.0000 0.0000 0.5000
3 Pd 0.0000 0.5000 0.2515
4 Pd 0.0000 0.5000 0.7485
5 Pd 0.5000 0.0000 0.2515
6 Pd 0.5000 0.0000 0.7485
7 Pd 0.5000 0.5000 0.0000
8 Pd 0.5000 0.5000 0.5000


# BaSmCrN4
Theoretical X-ray diffraction stick pattern, Cu Kα, 1.54184 Å. Input: a structure optimized by DFT (GGA-PBE).
No peak broadening, texture or thermal motion is included.

The 10 most intense peaks (2θ from 10° to 90°), in order of falling intensity:
22.1°, d = 4.014 Å, I = 100
29.4°, d = 3.035 Å, I = 59
31.2°, d = 2.869 Å, I = 57
29.8°, d = 2.998 Å, I = 48
37.9°, d = 2.375 Å, I = 39
37.0°, d = 2.431 Å, I = 36
45.2°, d = 2.007 Å, I = 36
31.9°, d = 2.808 Å, I = 35
34.4°, d = 2.605 Å, I = 32
54.6°, d = 1.681 Å, I = 21

Cell and atoms:
a = 5.8714 Å, b = 5.7382 Å, c = 7.4773 Å
α = 90.00°, β = 106.93°, γ = 90.00°
Sites, in units of the cell vectors:
1 Ba 0.2147 0.2500 0.4243
2 Ba 0.7853 0.7500 0.5757
3 Sm 0.2829 0.2500 0.9481
4 Sm 0.7171 0.7500 0.0519
5 Cr 0.2633 0.7500 0.1750
6 Cr 0.7367 0.2500 0.8250
7 N 0.0776 0.7500 0.3210
8 N 0.0811 0.7500 0.9487
9 N 0.4538 0.5117 0.2044
10 N 0.4538 0.9883 0.2044
11 N 0.5462 0.0117 0.7956
12 N 0.5462 0.4883 0.7956
13 N 0.9189 0.2500 0.0513
14 N 0.9224 0.2500 0.6790


# Pa3Al2Ru6
Theoretical X-ray diffraction stick pattern, Cu Kα, 1.54184 Å. Input: a structure optimized by DFT (GGA-PBE).
No peak broadening, texture or thermal motion is included.

The 10 most intense peaks (2θ from 10° to 90°), in order of falling intensity:
41.3°, d = 2.188 Å, I = 100
33.4°, d = 2.680 Å, I = 30
75.2°, d = 1.263 Å, I = 26
54.1°, d = 1.695 Å, I = 25
30.4°, d = 2.936 Å, I = 25
36.2°, d = 2.481 Å, I = 24
19.1°, d = 4.642 Å, I = 19
84.8°, d = 1.143 Å, I = 19
23.5°, d = 3.790 Å, I = 16
59.8°, d = 1.547 Å, I = 13

Cell and atoms:
a = 8.0405 Å, b = 8.0405 Å, c = 8.0405 Å
α = 109.47°, β = 109.47°, γ = 109.47°
Sites, in units of the cell vectors:
1 Pa 0.0000 0.2886 0.2886
2 Pa 0.0000 0.7114 0.7114
3 Pa 0.2886 0.0000 0.2886
4 Pa 0.2886 0.2886 0.0000
5 Pa 0.7114 0.0000 0.7114
6 Pa 0.7114 0.7114 0.0000
7 Al 0.0000 0.0000 0.5000
8 Al 0.0000 0.5000 0.0000
9 Al 0.5000 0.0000 0.0000
10 Al 0.5000 0.5000 0.5000
11 Ru 0.0000 0.3507 0.6493
12 Ru 0.0000 0.6493 0.3507
13 Ru 0.2986 0.6493 0.6493
14 Ru 0.3507 0.0000 0.6493
15 Ru 0.3507 0.3507 0.7014
16 Ru 0.3507 0.6493 0.0000
17 Ru 0.3507 0.7014 0.3507
18 Ru 0.6493 0.0000 0.3507
19 Ru 0.6493 0.2986 0.6493
20 Ru 0.6493 0.3507 0.0000
21 Ru 0.6493 0.6493 0.2986
22 Ru 0.7014 0.3507 0.3507